Simulated XRD peak list of SrNbCoO5 for Cu Kα, from DFT lattice parameters and positions (GGA+U).
Kinematic intensities with the Lorentz-polarization factor, no thermal factor.

Top 10 peaks for 15 to 90 degrees two-theta, sorted by position:
2θ (°)  intensity
25.7  69
28.3  55
31.8  100
35.1  13
35.6  14
41.8  15
49.7  13
52.3  28
54.5  13
57.0  17

Atomic structure:
Unit cell a=5.831 b=5.831 c=7.585 alpha=103.10 beta=103.10 gamma=108.12
Atoms (fractional coordinates):
Sr1 0.171 0.829 0.750
Sr2 0.829 0.171 0.250
Nb1 0.500 0.500 0.000
Nb2 0.500 0.500 0.500
Co1 0.181 0.819 0.250
Co2 0.819 0.181 0.750
O1 0.137 0.245 0.915
O2 0.211 0.610 0.402
O3 0.245 0.137 0.415
O4 0.390 0.789 0.098
O5 0.437 0.563 0.750
O6 0.563 0.437 0.250
O7 0.610 0.211 0.902
O8 0.755 0.863 0.585
O9 0.789 0.390 0.598
O10 0.863 0.755 0.085